Entry 1:
Diffraction record for Ba6SrRh. The XRD peak list is simulated, not measured: it uses DFT lattice parameters and positions (GGA-PBE) and Cu Ka.

Main lines, by angle (2θ = 10–80°):
2theta, I (rel.)
22.9, 13.4
24.0, 31.1
25.8, 51.4
25.9, 100.0
33.4, 12.9
33.4, 27.9
40.1, 26.2
40.4, 12.8
43.4, 24.3
47.3, 19.0

Cell and atoms:
Lattice parameters (Å, degrees): 8.671 8.671 15.307 100.74 100.74 53.49
Atoms (fractional coordinates):
Ba 0.016 0.829 0.606
Ba 0.130 0.302 0.672
Ba 0.171 0.984 0.894
Ba 0.282 0.424 0.965
Ba 0.302 0.130 0.172
Ba 0.424 0.282 0.465
Ba 0.576 0.718 0.535
Ba 0.698 0.870 0.828
Ba 0.718 0.576 0.035
Ba 0.829 0.016 0.106
Ba 0.870 0.698 0.328
Ba 0.984 0.171 0.394
Sr 0.408 0.592 0.250
Sr 0.592 0.408 0.750
Rh 0.000 0.500 0.500
Rh 0.500 0.000 0.000

Entry 2:
Diffraction record for BaSr3Rh. The XRD peak list is simulated, not measured: it uses DFT lattice parameters and positions (GGA-PBE) and Cu Ka.

Main lines, by angle (2θ = 10–80°):
2theta, I (rel.)
12.5, 25.9
16.1, 24.8
17.6, 24.8
25.0, 73.8
25.2, 23.9
28.9, 51.2
29.1, 100.0
41.3, 37.8
41.6, 72.7
51.4, 18.6

Cell and atoms:
Lattice parameters (Å, degrees): 7.529 8.692 7.583 90.00 109.90 90.00
Atoms (fractional coordinates):
Ba 0.248 0.000 0.242
Ba 0.752 0.000 0.758
Sr 0.232 0.514 0.253
Sr 0.233 0.740 0.751
Sr 0.243 0.266 0.741
Sr 0.757 0.266 0.259
Sr 0.767 0.740 0.249
Sr 0.768 0.514 0.747
Rh 0.000 0.492 0.500
Rh 0.000 0.769 0.000

Entry 3:
Diffraction record for BaSr3Rh. The XRD peak list is simulated, not measured: it uses DFT lattice parameters and positions (GGA-PBE) and Cu Ka.

Main lines, by angle (2θ = 10–80°):
2theta, I (rel.)
11.8, 12.8
16.2, 14.5
20.1, 11.8
25.1, 14.2
27.0, 100.0
34.9, 40.3
41.9, 31.9
45.3, 23.6
49.5, 12.7
68.4, 14.2

Cell and atoms:
Lattice parameters (Å, degrees): 8.610 7.107 7.478 90.00 90.00 90.00
Atoms (fractional coordinates):
Ba 0.250 0.012 0.000
Ba 0.750 0.988 0.000
Sr 0.000 0.000 0.517
Sr 0.000 0.500 0.831
Sr 0.250 0.490 0.358
Sr 0.500 0.000 0.517
Sr 0.500 0.500 0.831
Sr 0.750 0.510 0.358
Rh 0.250 0.247 0.676
Rh 0.750 0.753 0.676

Entry 4:
Diffraction record for BaSr3Rh. The XRD peak list is simulated, not measured: it uses DFT lattice parameters and positions (GGA-PBE) and Cu Ka.

Main lines, by angle (2θ = 10–80°):
2theta, I (rel.)
12.5, 29.3
16.1, 27.6
17.6, 23.3
25.0, 74.0
25.1, 24.0
28.9, 51.3
29.1, 100.0
41.3, 37.9
41.6, 72.8
68.4, 22.9

Cell and atoms:
Lattice parameters (Å, degrees): 7.535 8.675 7.582 90.00 109.91 90.00
Atoms (fractional coordinates):
Ba 0.000 0.130 0.000
Ba 0.000 0.870 0.500
Sr 0.013 0.387 0.492
Sr 0.013 0.613 0.992
Sr 0.479 0.387 0.996
Sr 0.479 0.613 0.496
Sr 0.490 0.134 0.484
Sr 0.490 0.866 0.984
Rh 0.242 0.360 0.241
Rh 0.242 0.640 0.741

Entry 5:
Diffraction record for Ba8TlRh2. The XRD peak list is simulated, not measured: it uses DFT lattice parameters and positions (GGA-PBE) and Cu Ka.

Main lines, by angle (2θ = 10–80°):
2theta, I (rel.)
16.7, 30.4
17.2, 33.6
19.9, 26.5
24.1, 100.0
27.0, 25.0
33.8, 51.2
34.9, 71.7
42.8, 21.0
44.6, 36.5
67.3, 19.9

Cell and atoms:
Lattice parameters (Å, degrees): 6.611 10.286 10.295 60.08 89.98 89.99
Atoms (fractional coordinates):
Ba 0.242 0.329 0.327
Ba 0.243 0.327 0.845
Ba 0.243 0.845 0.329
Ba 0.254 0.833 0.834
Ba 0.746 0.167 0.166
Ba 0.757 0.155 0.671
Ba 0.757 0.673 0.155
Ba 0.758 0.671 0.673
Tl 0.500 0.500 0.500
Rh 0.269 0.167 0.166
Rh 0.731 0.833 0.834

Entry 6:
Diffraction record for Ba5Tl2Rh. The XRD peak list is simulated, not measured: it uses DFT lattice parameters and positions (GGA-PBE) and Cu Ka.

Main lines, by angle (2θ = 10–80°):
2theta, I (rel.)
25.6, 11.8
26.4, 100.0
27.9, 13.8
28.4, 39.7
28.5, 26.1
35.6, 10.0
35.7, 9.6
38.2, 13.4
39.4, 19.7
48.1, 12.0

Cell and atoms:
Lattice parameters (Å, degrees): 10.748 14.240 4.569 90.00 90.00 90.00
Atoms (fractional coordinates):
Ba 0.000 0.000 0.000
Ba 0.130 0.308 0.000
Ba 0.172 0.570 0.500
Ba 0.328 0.070 0.500
Ba 0.370 0.808 0.000
Ba 0.500 0.500 0.000
Ba 0.630 0.192 0.000
Ba 0.672 0.930 0.500
Ba 0.828 0.430 0.500
Ba 0.870 0.692 0.000
Tl 0.089 0.824 0.500
Tl 0.411 0.324 0.500
Tl 0.589 0.676 0.500
Tl 0.911 0.176 0.500
Rh 0.000 0.500 0.000
Rh 0.500 0.000 0.000

Entry 7:
Diffraction record for Ba3Tl2Rh2. The XRD peak list is simulated, not measured: it uses DFT lattice parameters and positions (GGA-PBE) and Cu Ka.

Main lines, by angle (2θ = 10–80°):
2theta, I (rel.)
17.5, 31.9
27.5, 90.2
28.5, 66.9
31.5, 100.0
36.2, 48.2
36.4, 39.9
38.0, 42.4
44.6, 31.6
48.1, 31.5
53.5, 36.8

Cell and atoms:
Lattice parameters (Å, degrees): 10.675 10.675 10.675 154.34 153.14 37.48
Atoms (fractional coordinates):
Ba 0.000 0.000 0.000
Ba 0.176 0.676 0.500
Ba 0.824 0.324 0.500
Tl 0.367 0.867 0.500
Tl 0.633 0.133 0.500
Rh 0.438 0.438 0.000
Rh 0.562 0.562 0.000

Entry 8:
Diffraction record for Ba3Tl3Rh2. The XRD peak list is simulated, not measured: it uses DFT lattice parameters and positions (GGA-PBE) and Cu Ka.

Main lines, by angle (2θ = 10–80°):
2theta, I (rel.)
14.3, 31.0
29.0, 100.0
29.2, 94.9
32.5, 27.5
33.0, 52.6
35.3, 34.9
35.6, 40.3
39.7, 47.3
41.4, 27.6
55.6, 34.5

Cell and atoms:
Lattice parameters (Å, degrees): 6.616 6.616 17.748 90.00 90.00 139.86
Atoms (fractional coordinates):
Ba 0.063 0.937 0.603
Ba 0.063 0.937 0.897
Ba 0.349 0.651 0.750
Ba 0.651 0.349 0.250
Ba 0.937 0.063 0.103
Ba 0.937 0.063 0.397
Tl 0.341 0.659 0.539
Tl 0.341 0.659 0.961
Tl 0.359 0.641 0.250
Tl 0.641 0.359 0.750
Tl 0.659 0.341 0.039
Tl 0.659 0.341 0.461
Rh 0.239 0.761 0.114
Rh 0.239 0.761 0.386
Rh 0.761 0.239 0.614
Rh 0.761 0.239 0.886

Entry 9:
Diffraction record for BaRh2W2. The XRD peak list is simulated, not measured: it uses DFT lattice parameters and positions (GGA-PBE) and Cu Ka.

Main lines, by angle (2θ = 10–80°):
2theta, I (rel.)
15.3, 10.7
24.3, 16.3
34.7, 77.1
38.6, 24.2
40.2, 100.0
44.3, 11.0
51.6, 11.2
57.8, 14.2
70.3, 23.1
76.7, 15.5

Cell and atoms:
Lattice parameters (Å, degrees): 8.182 8.182 2.835 90.00 90.00 90.00
Atoms (fractional coordinates):
Ba 0.000 0.000 0.000
Ba 0.500 0.500 0.000
Rh 0.124 0.376 0.000
Rh 0.376 0.876 0.000
Rh 0.624 0.124 0.000
Rh 0.876 0.624 0.000
W 0.158 0.658 0.500
W 0.342 0.158 0.500
W 0.658 0.842 0.500
W 0.842 0.342 0.500

Entry 10:
Diffraction record for BaZn6Rh3. The XRD peak list is simulated, not measured: it uses DFT lattice parameters and positions (GGA-PBE) and Cu Ka.

Main lines, by angle (2θ = 10–80°):
2theta, I (rel.)
32.3, 74.8
35.0, 80.7
37.7, 100.0
40.8, 76.0
41.8, 57.4
42.4, 60.5
42.5, 59.6
42.6, 57.6
44.0, 49.8
67.6, 68.2

Cell and atoms:
Lattice parameters (Å, degrees): 5.547 5.547 7.345 111.90 111.90 59.96
Atoms (fractional coordinates):
Ba 0.000 0.000 0.000
Zn 0.116 0.622 0.357
Zn 0.414 0.414 0.725
Zn 0.414 0.901 0.726
Zn 0.621 0.621 0.358
Zn 0.622 0.116 0.357
Zn 0.901 0.414 0.726
Rh 0.150 0.150 0.443
Rh 0.348 0.348 0.039
Rh 0.677 0.677 0.032

Entry 11:
Diffraction record for BaZn3Rh. The XRD peak list is simulated, not measured: it uses DFT lattice parameters and positions (GGA-PBE) and Cu Ka.

Main lines, by angle (2θ = 10–80°):
2theta, I (rel.)
15.8, 32.0
25.2, 68.8
31.9, 83.5
32.1, 75.4
37.6, 32.8
40.4, 100.0
40.6, 69.7
51.6, 26.3
52.6, 37.5
59.6, 36.7

Cell and atoms:
Lattice parameters (Å, degrees): 6.207 6.207 9.421 110.29 110.29 41.92
Atoms (fractional coordinates):
Ba 0.154 0.154 0.279
Ba 0.846 0.846 0.721
Zn 0.093 0.093 0.639
Zn 0.201 0.201 0.934
Zn 0.500 0.500 0.000
Zn 0.500 0.500 0.500
Zn 0.799 0.799 0.066
Zn 0.907 0.907 0.361
Rh 0.401 0.401 0.195
Rh 0.599 0.599 0.805

Entry 12:
Diffraction record for BaZn3Rh. The XRD peak list is simulated, not measured: it uses DFT lattice parameters and positions (GGA-PBE) and Cu Ka.

Main lines, by angle (2θ = 10–80°):
2theta, I (rel.)
25.9, 92.4
26.6, 24.0
29.8, 70.5
32.5, 51.4
36.8, 100.0
37.2, 53.4
40.0, 31.5
53.3, 44.9
54.9, 23.1
56.4, 22.9

Cell and atoms:
Lattice parameters (Å, degrees): 6.883 6.883 6.883 121.85 90.65 117.45
Atoms (fractional coordinates):
Ba 0.328 0.078 0.250
Ba 0.672 0.922 0.750
Zn 0.180 0.430 0.750
Zn 0.210 0.000 0.710
Zn 0.210 0.500 0.210
Zn 0.790 0.000 0.290
Zn 0.790 0.500 0.790
Zn 0.820 0.570 0.250
Rh 0.000 0.500 0.500
Rh 0.500 0.500 0.000